# Ac2ReHN3
Simulated XRD peak list, Cu Kα X-rays. Input: a cell relaxed with PBE.

Main lines, by intensity (2θ from 10° to 90°):
2θ/deg  intensity
32.3  100
30.5  97
29.9  93
55.8  37
52.3  37
56.9  33
40.0  22
45.5  21
47.2  19
67.6  13

Atomic structure:
Lattice parameters (Å, degrees): 7.307 7.307 7.307 149.46 148.32 44.58
Fractional coordinates of all 7 atoms:
Ac1 0.148 0.148 0.000
Ac2 0.852 0.852 0.000
Re1 0.500 0.500 0.000
H1 0.500 0.000 0.500
N1 0.000 0.500 0.500
N2 0.342 0.342 0.000
N3 0.658 0.658 0.000